Simulated X-ray powder pattern of CaCu2Si2 for copper Kα, from a cell relaxed with GGA-PBE.
Peak positions follow from Bragg's law for the DFT cell and can differ from measured ones.

Principal peaks in the range 5 to 70 degrees two-theta, sorted by position:
two_theta, d_spacing, I/Imax, h k l
17.8, 4.976, 35, 0 0 2
35.0, 2.566, 19, 1 0 3
36.1, 2.488, 11, 0 0 4
36.2, 2.481, 100, 1 1 2
44.8, 2.024, 44, 2 0 0
48.5, 1.877, 39, 1 1 4
51.1, 1.786, 8, 1 0 5
58.8, 1.570, 10, 2 0 4
65.0, 1.435, 13, 1 1 6
65.2, 1.431, 13, 2 2 0

abc: 4.048 4.048 9.953
angles: 90.00 90.00 90.00
Atoms (fractional coordinates):
Ca 0.000 0.000 0.000
Ca 0.500 0.500 0.500
Cu 0.000 0.500 0.250
Cu 0.000 0.500 0.750
Cu 0.500 0.000 0.250
Cu 0.500 0.000 0.750
Si 0.000 0.000 0.381
Si 0.000 0.000 0.619
Si 0.500 0.500 0.119
Si 0.500 0.500 0.881